No. 1
Calculated powder X-ray diffraction pattern of CsPrHgI6 for λ = 1.5418 Å (Cu Kα), from a DFT-relaxed cell (GGA-PBE, Alexandria).

Principal peaks in the range 2θ from 10° to 80°, in order of rising 2θ:
| d (Å) | I (rel.) |
| --- | --- |
| 8.368 | 59.4 |
| 6.907 | 24.7 |
| 5.677 | 50.3 |
| 5.034 | 76.0 |
| 3.854 | 93.4 |
| 3.636 | 44.4 |
| 3.072 | 100.0 |
| 2.675 | 64.9 |
| 2.634 | 40.8 |
| 2.302 | 35.9 |
| 2.230 | 26.0 |
| 1.972 | 40.1 |

Atomic structure:
a = 7.8770 Å, b = 14.8462 Å, c = 8.4484 Å
α = 90.00°, β = 97.90°, γ = 90.00°
Space group C2 (No. 5)
Asymmetric unit:
Cs1 0.0000 0.0000 0.0000
Pr1 0.0000 0.3351 0.5000
Hg1 0.0000 0.6342 0.5000
I1 0.1648 0.4919 0.3187
I2 0.2219 0.2022 0.2946
I3 0.2323 0.7904 0.2120



No. 2
Calculated powder X-ray diffraction pattern of CsNdTe3Pb for λ = 1.5418 Å (Cu Kα), from a DFT-relaxed cell (GGA-PBE, Alexandria).

Principal peaks in the range 2θ from 10° to 80°, in order of rising 2θ:
| d (Å) | I (rel.) |
| --- | --- |
| 8.678 | 55.4 |
| 3.631 | 30.9 |
| 3.417 | 100.0 |
| 3.168 | 13.6 |
| 2.823 | 11.0 |
| 2.798 | 23.3 |
| 2.741 | 18.8 |
| 2.297 | 37.8 |
| 2.179 | 10.7 |
| 2.172 | 15.0 |
| 1.942 | 10.8 |
| 1.555 | 14.5 |

Atomic structure:
a = 10.5893 Å, b = 4.5981 Å, c = 11.2914 Å
α = 90.00°, β = 105.26°, γ = 90.00°
Space group P2_1/m (No. 11)
Asymmetric unit:
Cs1 0.1905 0.2500 0.2238
Nd1 0.3574 0.7500 0.8514
Te1 0.1363 0.2500 0.8357
Te2 0.3141 0.7500 0.5574
Te3 0.4365 0.7500 0.1404
Pb1 0.1265 0.2500 0.5685



No. 3
Calculated powder X-ray diffraction pattern of AlSbAs for λ = 1.5418 Å (Cu Kα), from a DFT-relaxed cell (GGA-PBE, Alexandria).

Principal peaks in the range 2θ from 10° to 80°, in order of rising 2θ:
| d (Å) | I (rel.) |
| --- | --- |
| 4.449 | 60.1 |
| 4.229 | 86.7 |
| 3.621 | 100.0 |
| 3.497 | 38.6 |
| 3.184 | 38.6 |
| 2.794 | 86.5 |
| 2.505 | 46.8 |
| 2.475 | 46.4 |
| 2.359 | 48.0 |
| 2.304 | 55.8 |
| 2.123 | 38.5 |
| 2.002 | 46.0 |

Atomic structure:
a = 4.2360 Å, b = 6.2184 Å, c = 6.3785 Å
α = 90.00°, β = 93.33°, γ = 90.00°
Space group P2_1 (No. 4)
Asymmetric unit:
Al1 0.2424 0.0000 0.3441
Sb1 0.4894 0.6383 0.0073
As1 0.2467 0.2817 0.6227